(1)
# NaCr2FeO10
Calculated XRD peak list, copper Kα. Input: a DFT-relaxed cell (GGA+U, Alexandria).

Structural model:
Cell: 8.6106 8.6106 10.3311 Å, 118.10 118.10 37.39°
Element x y z (fractional)
Na 0.1857 0.8143 0.7500
Na 0.8143 0.1857 0.2500
Cr 0.1654 0.6259 0.0154
Cr 0.3741 0.8346 0.4846
Cr 0.6259 0.1654 0.5154
Cr 0.8346 0.3741 0.9846
Fe 0.0000 0.5000 0.5000
Fe 0.5000 0.0000 0.0000
O 0.0627 0.4980 0.7246
O 0.1088 0.2244 0.9595
O 0.1258 0.6226 0.8238
O 0.2030 0.7832 0.3865
O 0.2168 0.7970 0.1135
O 0.2244 0.1088 0.4595
O 0.3231 0.4206 0.5504
O 0.3774 0.8742 0.6762
O 0.4206 0.3231 0.0504
O 0.4980 0.0627 0.2246
O 0.5020 0.9373 0.7754
O 0.5794 0.6769 0.9496
O 0.6226 0.1258 0.3238
O 0.6769 0.5794 0.4496
O 0.7756 0.8912 0.5405
O 0.7832 0.2030 0.8865
O 0.7970 0.2168 0.6135
O 0.8742 0.3774 0.1762
O 0.8912 0.7756 0.0405
O 0.9373 0.5020 0.2754

Principal peaks in the range 2θ = 5–70°, by angle:
Position (°2θ)	d/Å	Rel. int.
17.4	5.103	10
19.8	4.482	38
23.0	3.872	100
30.1	2.965	19
30.9	2.896	18
32.4	2.762	34
35.5	2.529	14
40.2	2.241	10
46.9	1.936	10
47.5	1.915	12

=====

(2)
# NaCr2FeO10
Calculated XRD peak list, copper Kα. Input: a DFT-relaxed cell (GGA+U, Alexandria).

Structural model:
Cell: 5.8875 5.8875 7.0154 Å, 97.54 97.54 57.04°
Element x y z (fractional)
Na 0.0000 0.0000 0.0000
Cr 0.3680 0.3680 0.1985
Cr 0.6320 0.6320 0.8015
Fe 0.0000 0.0000 0.5000
O 0.1955 0.1955 0.4417
O 0.1952 0.6907 0.2846
O 0.1990 0.1990 0.2480
O 0.3093 0.8048 0.7154
O 0.3478 0.3478 0.9668
O 0.6522 0.6522 0.0332
O 0.6907 0.1952 0.2846
O 0.8010 0.8010 0.7520
O 0.8048 0.3093 0.7154
O 0.8045 0.8045 0.5583

Principal peaks in the range 2θ = 5–70°, by angle:
Position (°2θ)	d/Å	Rel. int.
20.0	4.446	36
22.9	3.887	100
30.4	2.937	22
30.7	2.916	23
31.8	2.811	26
32.6	2.745	11
35.6	2.525	14
46.7	1.943	15
47.3	1.923	19
51.7	1.770	8